Theoretical powder diffractogram
Compound: Er2Tc3Os
Radiation: Cu Kα
Structure: DFT lattice parameters and positions (PBE)
Neutral-atom scattering factors, no anomalous dispersion.

Crystal structure
Lattice parameters (Å, degrees): 9.1155 5.2837 5.4817 90.00 124.14 90.00
Atoms (fractional coordinates):
Er  0.1255  0.0000  0.3764
Er  0.3745  0.5000  0.6236
Er  0.6255  0.5000  0.3764
Er  0.8745  0.0000  0.6236
Tc  0.0000  0.5000  0.0000
Tc  0.2500  0.2500  0.0000
Tc  0.2500  0.7500  0.0000
Tc  0.5000  0.0000  0.0000
Tc  0.7500  0.2500  0.0000
Tc  0.7500  0.7500  0.0000
Os  0.0000  0.5000  0.5000
Os  0.5000  0.0000  0.5000

Principal peaks in the range 2θ from 10° to 90°, low angle first:
two_theta  I/Imax
32.88  18
33.93  24
34.04  47
38.42  53
38.67  26
39.45  100
39.70  71
39.97  21
41.72  55
63.69  24
68.94  23
71.66  21



Theoretical powder diffractogram
Compound: Ti4Pd4Au3
Radiation: Cu Kα
Structure: DFT lattice parameters and positions (PBE)
Neutral-atom scattering factors, no anomalous dispersion.

Crystal structure
Lattice parameters (Å, degrees): 16.1524 16.1524 16.1524 168.09 168.09 16.88
Atoms (fractional coordinates):
Ti  0.0506  0.0506  0.0000
Ti  0.3144  0.3144  0.0000
Ti  0.6856  0.6856  0.0000
Ti  0.9494  0.9494  0.0000
Pd  0.2260  0.2260  0.0000
Pd  0.4110  0.4110  0.0000
Pd  0.5890  0.5890  0.0000
Pd  0.7740  0.7740  0.0000
Au  0.1392  0.1392  0.0000
Au  0.5000  0.5000  0.0000
Au  0.8608  0.8608  0.0000

Principal peaks in the range 2θ from 10° to 90°, low angle first:
two_theta  I/Imax
22.26  10
27.90  43
37.96  65
41.12  100
44.44  7
54.77  22
55.92  10
62.57  10
70.71  39
76.99  14
81.15  7
89.22  10



Theoretical powder diffractogram
Compound: CaTcRh
Radiation: Cu Kα
Structure: DFT lattice parameters and positions (PBE)
Neutral-atom scattering factors, no anomalous dispersion.

Crystal structure
Lattice parameters (Å, degrees): 4.3081 7.5038 7.2238 90.00 90.00 90.00
Atoms (fractional coordinates):
Ca  0.2500  0.1782  0.0000
Ca  0.2500  0.3218  0.5000
Ca  0.7500  0.6782  0.5000
Ca  0.7500  0.8218  0.0000
Tc  0.2500  0.5851  0.1626
Tc  0.2500  0.9149  0.6626
Tc  0.7500  0.0851  0.6626
Tc  0.7500  0.4149  0.1626
Rh  0.2500  0.6058  0.8206
Rh  0.2500  0.8942  0.3206
Rh  0.7500  0.1058  0.3206
Rh  0.7500  0.3942  0.8206

Principal peaks in the range 2θ from 10° to 90°, low angle first:
two_theta  I/Imax
17.04  70
23.82  50
24.65  18
34.03  100
34.53  80
39.30  76
41.76  77
41.94  55
49.09  22
49.72  55
58.82  45
66.85  26



Theoretical powder diffractogram
Compound: HfHgGe
Radiation: Cu Kα
Structure: DFT lattice parameters and positions (PBE)
Neutral-atom scattering factors, no anomalous dispersion.

Crystal structure
Lattice parameters (Å, degrees): 3.7608 3.8586 8.9745 90.00 90.00 90.00
Atoms (fractional coordinates):
Hf  0.2500  0.2500  0.1374
Hf  0.7500  0.7500  0.8626
Hg  0.2500  0.7500  0.5782
Hg  0.7500  0.2500  0.4218
Ge  0.2500  0.2500  0.8332
Ge  0.7500  0.7500  0.1668

Principal peaks in the range 2θ from 10° to 90°, low angle first:
two_theta  I/Imax
25.12  28
29.87  21
31.03  47
34.78  100
38.06  31
39.00  21
45.31  19
47.12  28
48.41  19
57.48  17
63.18  14
72.25  14



Theoretical powder diffractogram
Compound: CePuSc4
Radiation: Cu Kα
Structure: DFT lattice parameters and positions (PBE)
Neutral-atom scattering factors, no anomalous dispersion.

Crystal structure
Lattice parameters (Å, degrees): 5.2656 6.2095 9.0914 90.00 90.00 90.00
Atoms (fractional coordinates):
Ce  0.0000  0.0000  0.0000
Ce  0.5000  0.5000  0.5000
Pu  0.0000  0.5000  0.0062
Pu  0.5000  0.0000  0.5062
Sc  0.0000  0.0000  0.6598
Sc  0.0000  0.2480  0.3361
Sc  0.0000  0.5000  0.6789
Sc  0.0000  0.7520  0.3361
Sc  0.5000  0.0000  0.1789
Sc  0.5000  0.2520  0.8361
Sc  0.5000  0.5000  0.1598
Sc  0.5000  0.7480  0.8361

Principal peaks in the range 2θ from 10° to 90°, low angle first:
two_theta  I/Imax
19.50  100
28.75  23
34.11  99
34.98  99
39.59  18
45.20  41
49.66  37
61.00  12
61.59  25
61.69  13
63.29  11
70.46  15



Theoretical powder diffractogram
Compound: KTe3AsPb
Radiation: Cu Kα
Structure: DFT lattice parameters and positions (PBE)
Neutral-atom scattering factors, no anomalous dispersion.

Crystal structure
Lattice parameters (Å, degrees): 8.9603 5.1226 10.3087 90.00 107.22 90.00
Atoms (fractional coordinates):
K  0.2487  0.2500  0.2568
K  0.7513  0.7500  0.7432
Te  0.0532  0.2500  0.8685
Te  0.1850  0.7500  0.5328
Te  0.4882  0.2500  0.7962
Te  0.5118  0.7500  0.2038
Te  0.8150  0.2500  0.4672
Te  0.9468  0.7500  0.1315
As  0.1191  0.2500  0.6317
As  0.8809  0.7500  0.3683
Pb  0.3192  0.7500  0.8976
Pb  0.6808  0.2500  0.1024

Principal peaks in the range 2θ from 10° to 90°, low angle first:
two_theta  I/Imax
11.52  90
23.36  17
26.59  100
27.16  28
29.22  26
31.44  37
31.50  16
35.03  41
35.25  18
40.50  24
40.70  20
44.55  19



Theoretical powder diffractogram
Compound: Tb2TmSi2
Radiation: Cu Kα
Structure: DFT lattice parameters and positions (PBE)
Neutral-atom scattering factors, no anomalous dispersion.

Crystal structure
Lattice parameters (Å, degrees): 6.4327 6.4327 10.3875 115.09 115.09 38.89
Atoms (fractional coordinates):
Tb  0.0162  0.0162  0.1883
Tb  0.1799  0.1799  0.5894
Tb  0.8201  0.8201  0.4106
Tb  0.9838  0.9838  0.8117
Tm  0.2777  0.2777  0.1360
Tm  0.7223  0.7223  0.8640
Si  0.3886  0.3886  0.9413
Si  0.4827  0.4827  0.6060
Si  0.5173  0.5173  0.3940
Si  0.6114  0.6114  0.0587

Principal peaks in the range 2θ from 10° to 90°, low angle first:
two_theta  I/Imax
22.34  37
26.99  36
29.92  46
30.45  50
31.50  74
31.94  100
33.62  25
35.36  50
37.02  48
42.21  43
57.43  51
58.18  34



Theoretical powder diffractogram
Compound: Ca2W
Radiation: Cu Kα
Structure: DFT lattice parameters and positions (PBE)
Neutral-atom scattering factors, no anomalous dispersion.

Crystal structure
Lattice parameters (Å, degrees): 15.9015 6.0330 3.9720 90.00 90.00 90.00
Atoms (fractional coordinates):
Ca  0.1415  0.2467  0.2500
Ca  0.1415  0.7533  0.7500
Ca  0.3585  0.2533  0.7500
Ca  0.3585  0.7467  0.2500
Ca  0.6415  0.2533  0.7500
Ca  0.6415  0.7467  0.2500
Ca  0.8585  0.2467  0.2500
Ca  0.8585  0.7533  0.7500
W  0.0000  0.1286  0.7500
W  0.0000  0.8714  0.2500
W  0.5000  0.3714  0.2500
W  0.5000  0.6286  0.7500

Principal peaks in the range 2θ from 10° to 90°, low angle first:
two_theta  I/Imax
11.13  100
15.71  58
22.34  33
27.46  11
31.82  68
33.82  15
37.43  16
39.20  43
44.04  19
45.66  15
51.29  21
71.12  11